For CsCrP2, a crystal structure in Alexandria, relaxed with GGA-PBE gives the theoretical PXRD pattern in this record (a wavelength of 1.5418 Å).
Neutral-atom scattering factors, no anomalous dispersion.

Main lines, low angle first (2θ from 10° to 80°):
- 3.480 Å, I 100
- 2.968 Å, I 27
- 2.458 Å, I 6
- 2.009 Å, I 41
- 1.896 Å, I 5
- 1.740 Å, I 23
- 1.559 Å, I 6
- 1.555 Å, I 12
- 1.316 Å, I 13
- 1.314 Å, I 7

Atomic structure:
abc: 6.963 6.963 6.963
angles: 120.09 120.09 89.84
Element x y z (fractional)
Cs: 0.375 0.625 0.750
Cs: 0.625 0.375 0.250
Cr: 0.125 0.875 0.250
Cr: 0.875 0.125 0.750
P: 0.000 0.000 0.000
P: 0.000 0.000 0.500
P: 0.000 0.500 0.000
P: 0.500 0.000 0.500